No. 1
Starting from a cell relaxed with GGA-PBE, the powder diffraction line list of WSeS was calculated for Cu Kα (λ = 1.5418 Å).
Intensities are scaled so that the largest is 100.

Peak list (10 most intense, 10° ≤ 2θ ≤ 90°, by angle)
2θ (°)  I_rel
12.0  100
14.4  23
31.8  26
32.6  13
34.1  14
37.4  58
45.4  34
47.3  12
56.6  18
58.1  11

Cell and atoms:
```
data_WSeS
_symmetry_space_group_name_H-M 'P 3 m 1'
_symmetry_Int_Tables_number 156
_symmetry_space_group_name_Hall 'P 3 -2"'
_cell_length_a 3.2537
_cell_length_b 3.2537
_cell_length_c 36.8524
_cell_angle_alpha 90.00
_cell_angle_beta 90.00
_cell_angle_gamma 120.00
loop_
_atom_site_label
_atom_site_type_symbol
_atom_site_fract_x
_atom_site_fract_y
_atom_site_fract_z
W1 W 0.0000 0.0000 0.0000
W2 W 0.0000 0.0000 0.3757
W3 W 0.3333 0.6667 0.1879
W4 W 0.3333 0.6667 0.5636
Se1 Se 0.0000 0.0000 0.1415
Se2 Se 0.0000 0.0000 0.2342
Se3 Se 0.0000 0.0000 0.5173
Se4 Se 0.0000 0.0000 0.6100
S1 S 0.3333 0.6667 0.0421
S2 S 0.3333 0.6667 0.3337
S3 S 0.3333 0.6667 0.4178
S4 S 0.3333 0.6667 0.9579
```

***

No. 2
Starting from a cell relaxed with GGA-PBE, the powder diffraction line list of Er2AlSi was calculated for Cu Kα (λ = 1.5418 Å).
Intensities are scaled so that the largest is 100.

Peak list (10 most intense, 10° ≤ 2θ ≤ 90°, by angle)
2θ (°)  I_rel
27.3  72
29.6  100
31.9  72
33.0  77
35.6  39
37.4  43
40.3  36
52.3  34
57.6  32
60.5  26

Cell and atoms:
```
data_Er2AlSi
_symmetry_space_group_name_H-M 'P m c 21'
_symmetry_Int_Tables_number 26
_symmetry_space_group_name_Hall 'P 2c -2'
_cell_length_a 3.965
_cell_length_b 5.779
_cell_length_c 7.930
_cell_angle_alpha 90.00
_cell_angle_beta 90.00
_cell_angle_gamma 90.00
loop_
_atom_site_label
_atom_site_type_symbol
_atom_site_fract_x
_atom_site_fract_y
_atom_site_fract_z
Er1 Er 0.000 0.130 0.000
Er2 Er 0.500 0.358 0.643
Al1 Al 0.000 0.377 0.358
Si1 Si 0.500 0.123 0.283
```

***

No. 3
Starting from a cell relaxed with GGA-PBE, the powder diffraction line list of MgTi2Al4O10 was calculated for Cu Kα (λ = 1.5418 Å).
Intensities are scaled so that the largest is 100.

Peak list (10 most intense, 10° ≤ 2θ ≤ 90°, by angle)
2θ (°)  I_rel
18.0  27
19.0  29
26.9  96
28.4  32
28.9  61
31.1  43
32.0  100
42.1  36
52.0  57
52.6  28

Cell and atoms:
```
data_MgTi2Al4O10
_symmetry_space_group_name_H-M 'C 1 2/m 1'
_symmetry_Int_Tables_number 12
_symmetry_space_group_name_Hall '-C 2y'
_cell_length_a 9.899
_cell_length_b 3.514
_cell_length_c 11.011
_cell_angle_alpha 90.00
_cell_angle_beta 96.00
_cell_angle_gamma 90.00
loop_
_atom_site_label
_atom_site_type_symbol
_atom_site_fract_x
_atom_site_fract_y
_atom_site_fract_z
Mg1 Mg 0.000 0.000 0.000
Ti1 Ti 0.142 0.500 0.264
Al1 Al 0.139 0.500 0.535
Al2 Al 0.183 0.500 0.903
O1 O 0.001 0.500 0.120
O2 O 0.022 0.500 0.392
O3 O 0.190 0.000 0.947
O4 O 0.205 0.000 0.567
O5 O 0.220 0.000 0.227
```

***

No. 4
Starting from a cell relaxed with GGA-PBE, the powder diffraction line list of Ce2U3O10 was calculated for Cu Kα (λ = 1.5418 Å).
Intensities are scaled so that the largest is 100.

Peak list (10 most intense, 10° ≤ 2θ ≤ 90°, by angle)
2θ (°)  I_rel
28.4  100
32.9  23
33.0  12
47.2  25
47.3  25
55.9  8
56.0  31
56.2  8
76.1  7
78.6  7

Cell and atoms:
```
data_Ce2U3O10
_symmetry_space_group_name_H-M 'C 1 2/m 1'
_symmetry_Int_Tables_number 12
_symmetry_space_group_name_Hall '-C 2y'
_cell_length_a 12.170
_cell_length_b 5.446
_cell_length_c 8.585
_cell_angle_alpha 90.00
_cell_angle_beta 134.84
_cell_angle_gamma 90.00
loop_
_atom_site_label
_atom_site_type_symbol
_atom_site_fract_x
_atom_site_fract_y
_atom_site_fract_z
Ce1 Ce 0.199 0.000 0.299
U1 U 0.000 0.000 0.500
U2 U 0.100 0.500 0.900
O1 O 0.000 0.259 0.000
O2 O 0.092 0.251 0.396
O3 O 0.199 0.246 0.804
```

***

No. 5
Starting from a cell relaxed with GGA-PBE, the powder diffraction line list of MgSb2O5 was calculated for Cu Kα (λ = 1.5418 Å).
Intensities are scaled so that the largest is 100.

Peak list (10 most intense, 10° ≤ 2θ ≤ 90°, by angle)
2θ (°)  I_rel
17.2  100
17.5  34
26.8  38
27.0  56
28.0  24
28.5  28
28.8  33
30.0  32
31.0  33
34.4  23

Cell and atoms:
```
data_MgSb2O5
_symmetry_space_group_name_H-M 'P 1'
_symmetry_Int_Tables_number 1
_symmetry_space_group_name_Hall 'P 1'
_cell_length_a 3.583
_cell_length_b 5.291
_cell_length_c 13.364
_cell_angle_alpha 97.43
_cell_angle_beta 93.96
_cell_angle_gamma 99.61
loop_
_atom_site_label
_atom_site_type_symbol
_atom_site_fract_x
_atom_site_fract_y
_atom_site_fract_z
Mg1 Mg 0.000 0.000 0.000
Mg2 Mg 0.258 0.226 0.566
Sb1 Sb 0.315 0.538 0.168
Sb2 Sb 0.371 0.466 0.892
Sb3 Sb 0.872 0.759 0.676
Sb4 Sb 0.912 0.686 0.399
O1 O 0.109 0.039 0.425
O2 O 0.124 0.183 0.142
O3 O 0.363 0.693 0.043
O4 O 0.365 0.549 0.342
O5 O 0.388 0.522 0.680
O6 O 0.535 0.181 0.958
O7 O 0.719 0.049 0.610
O8 O 0.850 0.707 0.885
O9 O 0.861 0.672 0.226
O10 O 0.862 0.530 0.524
```

***

Please write out number 2 again, unchanged.
Starting from a cell relaxed with GGA-PBE, the powder diffraction line list of Er2AlSi was calculated for Cu Kα (λ = 1.5418 Å).
Intensities are scaled so that the largest is 100.

Peak list (10 most intense, 10° ≤ 2θ ≤ 90°, by angle)
2θ (°)  I_rel
27.3  72
29.6  100
31.9  72
33.0  77
35.6  39
37.4  43
40.3  36
52.3  34
57.6  32
60.5  26

Cell and atoms:
```
data_Er2AlSi
_symmetry_space_group_name_H-M 'P m c 21'
_symmetry_Int_Tables_number 26
_symmetry_space_group_name_Hall 'P 2c -2'
_cell_length_a 3.965
_cell_length_b 5.779
_cell_length_c 7.930
_cell_angle_alpha 90.00
_cell_angle_beta 90.00
_cell_angle_gamma 90.00
loop_
_atom_site_label
_atom_site_type_symbol
_atom_site_fract_x
_atom_site_fract_y
_atom_site_fract_z
Er1 Er 0.000 0.130 0.000
Er2 Er 0.500 0.358 0.643
Al1 Al 0.000 0.377 0.358
Si1 Si 0.500 0.123 0.283
```